Computed powder diffraction line list
Compound: NbRu3
Radiation: Cu Kα X-rays
Structure: a structure optimized by DFT (PBE)
Intensities are scaled so that the largest is 100.

Cell and atoms:
```
NbRu3
1.0
5.604 0.000 0.000
-2.802 4.853 0.000
0.000 0.000 4.390
Nb Ru
2 6
Cartesian
0.000 3.236 1.098
2.802 1.618 3.293
0.000 1.611 3.293
-1.407 4.048 3.293
1.395 0.806 1.098
1.407 4.048 3.293
4.209 0.806 1.098
2.802 3.242 1.098
```

Top 5 peaks for 5 to 70 degrees two-theta, most intense first:
d (Å), I_rel
2.124, 100
2.427, 25
2.195, 25
1.401, 17
1.628, 14